Entry 1:
Diffraction record for PuTiP2N6. The X-ray powder pattern is theoretical, not measured: it uses a crystal structure in Alexandria, relaxed with PBE and copper Kα.

Structure:
Cell: 6.8901 6.8901 5.5292 Å, 105.97 105.97 83.27°
Fractional positions:
Pu: 0.1067 0.8933 0.7500
Pu: 0.8933 0.1067 0.2500
Ti: 0.2902 0.7098 0.2500
Ti: 0.7098 0.2902 0.7500
P: 0.2131 0.3730 0.8291
P: 0.3730 0.2131 0.3291
P: 0.6270 0.7869 0.6709
P: 0.7869 0.6270 0.1709
N: 0.0139 0.2362 0.6864
N: 0.1732 0.6149 0.8677
N: 0.2362 0.0139 0.1864
N: 0.2980 0.3828 0.1496
N: 0.3828 0.2980 0.6496
N: 0.3851 0.8268 0.6323
N: 0.6149 0.1732 0.3677
N: 0.6172 0.7020 0.3504
N: 0.7020 0.6172 0.8504
N: 0.7638 0.9861 0.8136
N: 0.8268 0.3851 0.1323
N: 0.9861 0.7638 0.3136

Peak list (10 most intense, 5 to 70 degrees two-theta, sorted by position)
- 13.38°, d = 6.618 Å, rel. 100.0
- 18.53°, d = 4.788 Å, rel. 52.7
- 26.06°, d = 3.419 Å, rel. 31.7
- 28.12°, d = 3.174 Å, rel. 85.4
- 29.64°, d = 3.014 Å, rel. 36.1
- 34.90°, d = 2.571 Å, rel. 27.7
- 35.81°, d = 2.507 Å, rel. 26.4
- 37.21°, d = 2.417 Å, rel. 32.5
- 40.18°, d = 2.244 Å, rel. 25.6
- 53.64°, d = 1.709 Å, rel. 33.7

=====

Entry 2:
Diffraction record for CsLiTbBr5. The X-ray powder pattern is theoretical, not measured: it uses a crystal structure in Alexandria, relaxed with PBE and copper Kα.

Structure:
Cell: 8.1362 8.1362 10.7799 Å, 103.78 103.78 106.71°
Fractional positions:
Cs: 0.1585 0.8415 0.7500
Cs: 0.8415 0.1585 0.2500
Li: 0.1926 0.8074 0.2500
Li: 0.8074 0.1926 0.7500
Tb: 0.5000 0.5000 0.0000
Tb: 0.5000 0.5000 0.5000
Br: 0.1330 0.2699 0.9181
Br: 0.2055 0.6040 0.4003
Br: 0.2699 0.1330 0.4181
Br: 0.3960 0.7945 0.0997
Br: 0.4338 0.5662 0.7500
Br: 0.5662 0.4338 0.2500
Br: 0.6040 0.2055 0.9003
Br: 0.7301 0.8670 0.5819
Br: 0.7945 0.3960 0.5997
Br: 0.8670 0.7301 0.0819

Peak list (10 most intense, 5 to 70 degrees two-theta, sorted by position)
- 12.03°, d = 7.357 Å, rel. 67.7
- 18.02°, d = 4.922 Å, rel. 100.0
- 19.94°, d = 4.452 Å, rel. 39.5
- 25.73°, d = 3.463 Å, rel. 45.8
- 25.93°, d = 3.436 Å, rel. 41.6
- 28.56°, d = 3.126 Å, rel. 68.4
- 28.80°, d = 3.099 Å, rel. 42.8
- 34.63°, d = 2.590 Å, rel. 27.9
- 39.60°, d = 2.276 Å, rel. 31.2
- 42.45°, d = 2.129 Å, rel. 29.8

=====

Entry 3:
Diffraction record for Ac2Ag2Pb3. The X-ray powder pattern is theoretical, not measured: it uses a crystal structure in Alexandria, relaxed with PBE and copper Kα.

Structure:
Cell: 11.5979 4.7837 8.0165 Å, 90.00 109.06 90.00°
Fractional positions:
Ac: 0.1445 0.0000 0.2896
Ac: 0.3555 0.5000 0.7104
Ac: 0.6445 0.5000 0.2896
Ac: 0.8555 0.0000 0.7104
Ag: 0.1568 0.0000 0.7353
Ag: 0.3432 0.5000 0.2647
Ag: 0.6568 0.5000 0.7353
Ag: 0.8432 0.0000 0.2647
Pb: 0.0000 0.5000 0.5000
Pb: 0.1171 0.5000 0.9457
Pb: 0.3829 0.0000 0.0543
Pb: 0.5000 0.0000 0.5000
Pb: 0.6171 0.0000 0.9457
Pb: 0.8829 0.5000 0.0543

Peak list (10 most intense, 5 to 70 degrees two-theta, sorted by position)
- 24.75°, d = 3.597 Å, rel. 40.1
- 29.07°, d = 3.072 Å, rel. 98.4
- 29.96°, d = 2.982 Å, rel. 100.0
- 30.81°, d = 2.902 Å, rel. 72.0
- 32.68°, d = 2.740 Å, rel. 35.0
- 32.84°, d = 2.727 Å, rel. 44.0
- 33.21°, d = 2.697 Å, rel. 86.4
- 33.66°, d = 2.662 Å, rel. 55.1
- 37.61°, d = 2.392 Å, rel. 71.5
- 50.68°, d = 1.801 Å, rel. 46.7

=====

Entry 4:
Diffraction record for Pr2DyEr6. The X-ray powder pattern is theoretical, not measured: it uses a crystal structure in Alexandria, relaxed with PBE and copper Kα.

Structure:
Cell: 8.8868 8.8868 9.0682 Å, 115.98 115.98 82.47°
Fractional positions:
Pr: 0.0980 0.2832 0.4331
Pr: 0.2832 0.0980 0.9331
Pr: 0.7168 0.9020 0.0669
Pr: 0.9020 0.7168 0.5669
Dy: 0.3280 0.6720 0.7500
Dy: 0.6720 0.3280 0.2500
Er: 0.0975 0.8351 0.0410
Er: 0.1099 0.4387 0.8599
Er: 0.1649 0.9025 0.4590
Er: 0.3119 0.4928 0.3145
Er: 0.4387 0.1099 0.3599
Er: 0.4928 0.3119 0.8145
Er: 0.5072 0.6881 0.1855
Er: 0.5613 0.8901 0.6401
Er: 0.6881 0.5072 0.6855
Er: 0.8351 0.0975 0.5410
Er: 0.8901 0.5613 0.1401
Er: 0.9025 0.1649 0.9590

Peak list (10 most intense, 5 to 70 degrees two-theta, sorted by position)
- 29.21°, d = 3.057 Å, rel. 17.0
- 30.52°, d = 2.929 Å, rel. 27.3
- 30.76°, d = 2.907 Å, rel. 100.0
- 31.62°, d = 2.830 Å, rel. 74.5
- 32.04°, d = 2.793 Å, rel. 10.7
- 32.92°, d = 2.721 Å, rel. 24.8
- 37.81°, d = 2.379 Å, rel. 40.2
- 50.83°, d = 1.796 Å, rel. 19.6
- 56.57°, d = 1.627 Å, rel. 19.9
- 61.84°, d = 1.500 Å, rel. 13.0

=====

Entry 5:
Diffraction record for KCd4Pt. The X-ray powder pattern is theoretical, not measured: it uses a crystal structure in Alexandria, relaxed with PBE and copper Kα.

Structure:
Cell: 8.7698 4.4212 7.9259 Å, 90.00 90.00 90.00°
Fractional positions:
K: 0.2500 0.0000 0.1140
K: 0.7500 0.0000 0.8860
Cd: 0.0000 0.0000 0.5000
Cd: 0.0689 0.5000 0.8217
Cd: 0.2500 0.5000 0.4667
Cd: 0.4311 0.5000 0.8217
Cd: 0.5000 0.0000 0.5000
Cd: 0.5689 0.5000 0.1783
Cd: 0.7500 0.5000 0.5333
Cd: 0.9311 0.5000 0.1783
Pt: 0.2500 0.0000 0.6995
Pt: 0.7500 0.0000 0.3005

Peak list (10 most intense, 5 to 70 degrees two-theta, sorted by position)
- 11.16°, d = 7.926 Å, rel. 47.3
- 15.07°, d = 5.880 Å, rel. 96.1
- 30.86°, d = 2.898 Å, rel. 52.6
- 32.00°, d = 2.797 Å, rel. 52.1
- 36.71°, d = 2.448 Å, rel. 100.0
- 38.26°, d = 2.352 Å, rel. 16.4
- 38.63°, d = 2.331 Å, rel. 58.6
- 39.79°, d = 2.266 Å, rel. 38.4
- 40.82°, d = 2.211 Å, rel. 41.6
- 41.17°, d = 2.193 Å, rel. 16.4

=====

Entry 6:
Diffraction record for BeO8. The X-ray powder pattern is theoretical, not measured: it uses a crystal structure in Alexandria, relaxed with PBE and copper Kα.

Structure:
Cell: 6.6178 6.6178 7.6430 Å, 91.75 91.75 156.94°
Fractional positions:
Be: 0.0000 0.0000 0.0000
O: 0.1952 0.6348 0.3075
O: 0.3652 0.8048 0.6925
O: 0.4038 0.5962 0.0000
O: 0.4820 0.4820 0.1648
O: 0.5180 0.5180 0.8352
O: 0.5962 0.4038 0.0000
O: 0.6348 0.1952 0.3075
O: 0.8048 0.3652 0.6925

Peak list (10 most intense, 5 to 70 degrees two-theta, sorted by position)
- 11.72°, d = 7.553 Å, rel. 48.0
- 18.03°, d = 4.920 Å, rel. 100.0
- 27.33°, d = 3.263 Å, rel. 23.5
- 27.51°, d = 3.242 Å, rel. 19.4
- 35.01°, d = 2.563 Å, rel. 19.7
- 35.66°, d = 2.518 Å, rel. 9.2
- 36.53°, d = 2.460 Å, rel. 20.3
- 38.35°, d = 2.347 Å, rel. 16.7
- 50.94°, d = 1.793 Å, rel. 8.2
- 58.04°, d = 1.589 Å, rel. 7.8

=====

Entry 7:
Diffraction record for RbPaTe4Pb2. The X-ray powder pattern is theoretical, not measured: it uses a crystal structure in Alexandria, relaxed with PBE and copper Kα.

Structure:
Cell: 6.6002 6.6002 13.5040 Å, 90.00 90.00 90.00°
Fractional positions:
Rb: 0.0000 0.0000 0.0000
Rb: 0.5000 0.5000 0.5000
Pa: 0.0000 0.5000 0.7500
Pa: 0.5000 0.0000 0.2500
Te: 0.0000 0.0000 0.2615
Te: 0.0000 0.0000 0.7385
Te: 0.0000 0.5000 0.5221
Te: 0.0000 0.5000 0.9779
Te: 0.5000 0.0000 0.0221
Te: 0.5000 0.0000 0.4779
Te: 0.5000 0.5000 0.2385
Te: 0.5000 0.5000 0.7615
Pb: 0.0000 0.0000 0.5000
Pb: 0.0000 0.5000 0.2500
Pb: 0.5000 0.0000 0.7500
Pb: 0.5000 0.5000 0.0000

Peak list (10 most intense, 5 to 70 degrees two-theta, sorted by position)
- 26.40°, d = 3.376 Å, rel. 48.9
- 27.02°, d = 3.300 Å, rel. 100.0
- 38.13°, d = 2.360 Å, rel. 74.8
- 38.58°, d = 2.334 Å, rel. 39.2
- 47.36°, d = 1.920 Å, rel. 40.5
- 55.71°, d = 1.650 Å, rel. 13.6
- 61.73°, d = 1.503 Å, rel. 14.6
- 62.67°, d = 1.482 Å, rel. 17.6
- 62.98°, d = 1.476 Å, rel. 18.8
- 69.51°, d = 1.352 Å, rel. 26.0

=====

Entry 8:
Diffraction record for NaSe2S6. The X-ray powder pattern is theoretical, not measured: it uses a crystal structure in Alexandria, relaxed with PBE and copper Kα.

Structure:
Cell: 6.0267 6.0481 7.4914 Å, 99.96 98.77 98.43°
Fractional positions:
Na: 0.0000 0.0000 0.0000
Se: 0.1735 0.1027 0.6167
Se: 0.4436 0.4865 0.1554
S: 0.1410 0.7266 0.4835
S: 0.3023 0.6789 0.9472
S: 0.4643 0.6959 0.4500
S: 0.5126 0.9624 0.9173
S: 0.6343 0.2126 0.4466
S: 0.9408 0.2034 0.3854

Peak list (10 most intense, 5 to 70 degrees two-theta, sorted by position)
- 15.12°, d = 5.861 Å, rel. 100.0
- 17.63°, d = 5.030 Å, rel. 61.1
- 21.31°, d = 4.170 Å, rel. 73.5
- 23.29°, d = 3.819 Å, rel. 52.5
- 23.46°, d = 3.791 Å, rel. 59.5
- 30.51°, d = 2.930 Å, rel. 49.3
- 30.75°, d = 2.908 Å, rel. 42.2
- 31.27°, d = 2.860 Å, rel. 57.1
- 31.68°, d = 2.825 Å, rel. 52.3
- 35.25°, d = 2.546 Å, rel. 43.8

=====

Entry 9:
Diffraction record for RbPH2O4. The X-ray powder pattern is theoretical, not measured: it uses a crystal structure in Alexandria, relaxed with PBE and copper Kα.

Structure:
Cell: 8.6360 6.3021 9.7171 Å, 90.00 121.01 90.00°
Fractional positions:
Rb: 0.2311 0.2416 0.4445
Rb: 0.2311 0.2584 0.9445
Rb: 0.7689 0.7416 0.0555
Rb: 0.7689 0.7584 0.5555
P: 0.2625 0.7141 0.2354
P: 0.2625 0.7859 0.7354
P: 0.7375 0.2141 0.2646
P: 0.7375 0.2859 0.7646
H: 0.1489 0.7390 0.4651
H: 0.1489 0.7610 0.9651
H: 0.4578 0.5198 0.7650
H: 0.4578 0.9802 0.2650
H: 0.5422 0.0198 0.7350
H: 0.5422 0.4802 0.2350
H: 0.8511 0.2390 0.0349
H: 0.8511 0.2610 0.5349
O: 0.1139 0.7295 0.0495
O: 0.1139 0.7705 0.5495
O: 0.1558 0.6807 0.3183
O: 0.1558 0.8193 0.8183
O: 0.3580 0.5594 0.7903
O: 0.3580 0.9406 0.2903
O: 0.3997 0.5399 0.2683
O: 0.3997 0.9601 0.7683
O: 0.6003 0.0399 0.2317
O: 0.6003 0.4601 0.7317
O: 0.6420 0.0594 0.7097
O: 0.6420 0.4406 0.2097
O: 0.8442 0.1807 0.1817
O: 0.8442 0.3193 0.6817
O: 0.8861 0.2295 0.4505
O: 0.8861 0.2705 0.9505

Peak list (10 most intense, 5 to 70 degrees two-theta, sorted by position)
- 23.14°, d = 3.844 Å, rel. 100.0
- 24.05°, d = 3.701 Å, rel. 50.7
- 25.64°, d = 3.474 Å, rel. 18.5
- 26.59°, d = 3.352 Å, rel. 19.0
- 28.32°, d = 3.151 Å, rel. 31.8
- 29.54°, d = 3.024 Å, rel. 23.3
- 32.85°, d = 2.726 Å, rel. 26.9
- 34.36°, d = 2.610 Å, rel. 34.2
- 37.49°, d = 2.399 Å, rel. 30.3
- 39.77°, d = 2.267 Å, rel. 24.4

=====

Entry 10:
Diffraction record for EuPuOs4. The X-ray powder pattern is theoretical, not measured: it uses a crystal structure in Alexandria, relaxed with PBE and copper Kα.

Structure:
Cell: 5.3747 5.3747 5.3747 Å, 60.00 60.00 60.00°
Fractional positions:
Eu: 0.0000 0.0000 0.0000
Pu: 0.7500 0.7500 0.7500
Os: 0.3750 0.3750 0.3750
Os: 0.3750 0.3750 0.8749
Os: 0.3750 0.8749 0.3750
Os: 0.8749 0.3750 0.3750

Peak list (10 most intense, 5 to 70 degrees two-theta, sorted by position)
- 20.24°, d = 4.388 Å, rel. 5.6
- 23.41°, d = 3.801 Å, rel. 1.4
- 33.34°, d = 2.687 Å, rel. 27.7
- 39.31°, d = 2.292 Å, rel. 100.0
- 41.14°, d = 2.194 Å, rel. 39.3
- 47.87°, d = 1.900 Å, rel. 4.4
- 52.48°, d = 1.744 Å, rel. 1.4
- 53.95°, d = 1.700 Å, rel. 0.7
- 59.59°, d = 1.552 Å, rel. 10.7
- 63.61°, d = 1.463 Å, rel. 33.1

=====

Entry 11:
Diffraction record for RbLi2Th2Se6. The X-ray powder pattern is theoretical, not measured: it uses a crystal structure in Alexandria, relaxed with PBE and copper Kα.

Structure:
Cell: 7.0430 7.6674 7.7476 Å, 119.41 101.13 91.90°
Fractional positions:
Rb: 0.0000 0.0000 0.0000
Li: 0.4912 0.7501 0.4330
Li: 0.5088 0.2499 0.5670
Th: 0.0160 0.3339 0.6746
Th: 0.9840 0.6661 0.3254
Se: 0.2445 0.6413 0.0719
Se: 0.2476 0.4497 0.4643
Se: 0.2642 0.0290 0.6390
Se: 0.7358 0.9710 0.3610
Se: 0.7524 0.5503 0.5357
Se: 0.7555 0.3587 0.9281

Peak list (10 most intense, 5 to 70 degrees two-theta, sorted by position)
- 12.96°, d = 6.833 Å, rel. 100.0
- 13.38°, d = 6.616 Å, rel. 45.0
- 23.47°, d = 3.790 Å, rel. 35.7
- 24.51°, d = 3.632 Å, rel. 43.6
- 26.29°, d = 3.390 Å, rel. 52.2
- 29.42°, d = 3.036 Å, rel. 47.1
- 31.66°, d = 2.826 Å, rel. 32.2
- 34.59°, d = 2.593 Å, rel. 22.3
- 35.77°, d = 2.510 Å, rel. 27.0
- 41.39°, d = 2.181 Å, rel. 24.5

=====

Entry 12:
Diffraction record for Tb3Sm5In4. The X-ray powder pattern is theoretical, not measured: it uses a crystal structure in Alexandria, relaxed with PBE and copper Kα.

Structure:
Cell: 8.0769 8.0769 9.0554 Å, 112.22 112.22 41.74°
Fractional positions:
Tb: 0.0000 0.0000 0.0000
Tb: 0.4321 0.4321 0.5848
Tb: 0.5679 0.5679 0.4152
Sm: 0.1740 0.1740 0.3870
Sm: 0.3133 0.3133 0.1536
Sm: 0.5000 0.5000 0.0000
Sm: 0.6867 0.6867 0.8464
Sm: 0.8260 0.8260 0.6130
In: 0.0631 0.0631 0.6836
In: 0.2793 0.2793 0.7695
In: 0.7207 0.7207 0.2305
In: 0.9369 0.9369 0.3164

Peak list (10 most intense, 5 to 70 degrees two-theta, sorted by position)
- 29.31°, d = 3.047 Å, rel. 53.0
- 29.60°, d = 3.018 Å, rel. 41.8
- 30.07°, d = 2.971 Å, rel. 39.6
- 31.08°, d = 2.877 Å, rel. 100.0
- 33.60°, d = 2.667 Å, rel. 75.0
- 34.17°, d = 2.624 Å, rel. 76.6
- 34.62°, d = 2.591 Å, rel. 44.5
- 37.99°, d = 2.369 Å, rel. 24.0
- 43.24°, d = 2.092 Å, rel. 32.1
- 43.45°, d = 2.083 Å, rel. 29.3